# CaMg6Ga
Simulated X-ray powder pattern, a wavelength of 1.5418 Å. Input: a PBE-relaxed structure.
Lines closer than 0.1° are merged.

Unit cell a=5.1524 b=6.3644 c=11.6080 alpha=90.00 beta=90.00 gamma=90.00
Space group Amm2 (No. 38)
Asymmetric unit:
Ca (0.0000, 0.0000, 0.0000) x2
Mg (0.0000, 0.2482, 0.2484) x4
Mg (0.5000, 0.0000, 0.1679) x2
Mg (0.5000, 0.0000, 0.6555) x2
Mg (0.5000, 0.2402, 0.4098) x4
Ga (0.0000, 0.0000, 0.4873) x2

The 12 most intense peaks (2θ from 10° to 80°), in order of rising 2θ:
2θ (°)  I/Imax  h k l
15.27  16  0 0 2
23.08  13  1 0 2
30.81  15  0 0 4
32.09  31  0 2 2
34.82  38  2 0 0
35.50  54  1 0 4
36.62  100  1 2 2
48.07  17  2 2 2
55.59  18  0 2 6
63.62  18  3 2 2
67.30  19  2 2 6
69.84  13  1 4 4

=====

# CaGaN
Simulated X-ray powder pattern, a wavelength of 1.5418 Å. Input: a PBE-relaxed structure.
Lines closer than 0.1° are merged.

Unit cell a=3.5923 b=3.5923 c=7.5609 alpha=90.00 beta=90.00 gamma=90.00
Space group P4/nmm (No. 129, origin choice 2)
Asymmetric unit:
Ca (0.2500, 0.2500, 0.1479) x2
Ga (0.2500, 0.2500, 0.5835) x2
N (0.2500, 0.2500, 0.8294) x2

The 12 most intense peaks (2θ from 10° to 80°), in order of rising 2θ:
2θ (°)  I/Imax  h k l
11.70  31  0 0 1
34.44  100  1 0 2
35.34  90  1 1 0
37.35  10  1 1 1
43.88  20  1 0 3
50.84  30  2 0 0
51.05  9  1 1 3
54.89  8  1 0 4
61.11  12  1 1 4
62.85  34  2 1 2
69.37  10  2 1 3
74.75  8  2 2 0

=====

# Na4CaGaP3O12
Simulated X-ray powder pattern, a wavelength of 1.5418 Å. Input: a PBE-relaxed structure.
Lines closer than 0.1° are merged.

Unit cell a=9.2222 b=9.2222 c=21.9207 alpha=90.00 beta=90.00 gamma=120.00
Space group R3c (No. 161, hexagonal axes)
Asymmetric unit:
Na (0.0000, 0.0000, 0.0000) x6
Na (0.0340, 0.3379, 0.0805) x18
Ca (0.0000, 0.0000, 0.3476) x6
Ga (0.0000, 0.0000, 0.1483) x6
P (0.0149, 0.3076, 0.2491) x18
O (0.0360, 0.2135, 0.1924) x18
O (0.1238, 0.4454, 0.9744) x18
O (0.1386, 0.4679, 0.5768) x18
O (0.1828, 0.4827, 0.2519) x18

The 12 most intense peaks (2θ from 10° to 80°), in order of rising 2θ:
2θ (°)  I/Imax  h k l
13.72  24  0 1 2
19.25  13  1 1 0
19.65  39  1 0 4
22.80  39  1 1 3
27.64  19  0 2 4
29.88  23  2 1 1
31.24  100  1 1 6
33.67  65  3 0 0
46.58  39  2 2 6
52.51  15  4 1 0
58.69  26  4 1 6
61.58  15  0 3 12